[1]
For Na2SrSnC, a crystal structure in Alexandria, relaxed with GGA-PBE gives the simulated X-ray diffraction stick pattern in this record (Cu Kα X-rays).

Atomic structure:
```
data_Na2SrSnC
_symmetry_space_group_name_H-M 'P 1'
_symmetry_Int_Tables_number 1
_cell_length_a 6.959
_cell_length_b 6.959
_cell_length_c 6.197
_cell_angle_alpha 90.00
_cell_angle_beta 90.00
_cell_angle_gamma 90.00
loop_
_symmetry_equiv_pos_as_xyz
'x,y,z'
loop_
_atom_site_label
_atom_site_fract_x
_atom_site_fract_y
_atom_site_fract_z
Na1 0.000 0.500 0.000
Na2 0.500 0.000 0.000
Sr1 0.000 0.000 0.000
Sn1 0.000 0.000 0.500
C1 0.500 0.500 0.500
```

Main lines, by intensity (10° ≤ 2θ ≤ 90°):
2θ/deg  intensity  h k l
12.72  100  1 0 0
25.60  38  2 0 0
18.03  35  1 1 0
41.08  32  2 1 2
38.90  32  2 0 2
28.68  30  2 1 0
31.61  24  1 0 2
47.14  22  2 2 2
36.52  15  2 2 0
34.20  14  1 1 2



[2]
For NaTa3C, a crystal structure in Alexandria, relaxed with GGA-PBE gives the simulated X-ray diffraction stick pattern in this record (Cu Kα X-rays).

Atomic structure:
```
data_NaTa3C
_symmetry_space_group_name_H-M 'P 1'
_symmetry_Int_Tables_number 1
_cell_length_a 4.367
_cell_length_b 4.367
_cell_length_c 4.367
_cell_angle_alpha 90.00
_cell_angle_beta 90.00
_cell_angle_gamma 90.00
loop_
_symmetry_equiv_pos_as_xyz
'x,y,z'
loop_
_atom_site_label
_atom_site_fract_x
_atom_site_fract_y
_atom_site_fract_z
Na1 0.000 0.000 0.000
Ta1 0.000 0.500 0.500
Ta2 0.500 0.000 0.500
Ta3 0.500 0.500 0.000
C1 0.500 0.500 0.500
```

Main lines, by intensity (10° ≤ 2θ ≤ 90°):
2θ/deg  intensity  h k l
35.61  100  1 1 1
41.35  54  2 0 0
71.67  40  3 1 1
59.91  36  2 2 0
20.34  28  1 0 0
28.91  17  1 1 0
46.50  13  2 1 0
75.40  12  2 2 2
51.24  8  2 1 1
63.95  6  3 0 0



[3]
For Na2TeC, a crystal structure in Alexandria, relaxed with GGA-PBE gives the simulated X-ray diffraction stick pattern in this record (Cu Kα X-rays).

Atomic structure:
```
data_Na2TeC
_symmetry_space_group_name_H-M 'P 1'
_symmetry_Int_Tables_number 1
_cell_length_a 10.135
_cell_length_b 10.135
_cell_length_c 4.597
_cell_angle_alpha 90.00
_cell_angle_beta 90.00
_cell_angle_gamma 90.00
loop_
_symmetry_equiv_pos_as_xyz
'x,y,z'
loop_
_atom_site_label
_atom_site_fract_x
_atom_site_fract_y
_atom_site_fract_z
Na1 0.005 0.750 0.125
Na2 0.250 0.005 0.875
Na3 0.250 0.495 0.375
Na4 0.495 0.750 0.625
Na5 0.505 0.250 0.625
Na6 0.750 0.505 0.375
Na7 0.750 0.995 0.875
Na8 0.995 0.250 0.125
Te1 0.000 0.000 0.500
Te2 0.000 0.500 0.750
Te3 0.500 0.000 0.250
Te4 0.500 0.500 0.000
C1 0.000 0.000 0.000
C2 0.000 0.500 0.250
C3 0.500 0.000 0.750
C4 0.500 0.500 0.500
```

Main lines, by intensity (10° ≤ 2θ ≤ 90°):
2θ/deg  intensity  h k l
17.50  100  2 0 0
27.64  76  2 1 1
37.50  34  3 2 1
35.43  31  4 0 0
48.76  26  3 1 2
39.78  24  4 2 0
41.25  21  1 1 2
21.22  20  1 0 1
24.85  17  2 2 0
52.55  13  5 2 1